Diffraction record for Cs2V2HgO7. The powder X-ray diffraction pattern is theoretical, not measured: it uses a DFT-relaxed cell (GGA+U, Alexandria) and λ = 1.5418 Å (Cu Kα).

Most intense lines, 2θ = 10–90°, in order of rising 2θ:
d 7.370, I 33; d 3.877, I 85; d 3.431, I 48; d 3.140, I 100; d 2.464, I 30; d 2.440, I 43; d 1.937, I 30; d 1.927, I 29; d 1.813, I 20; d 1.589, I 28

Cell and atoms:
```
Cs2V2HgO7
1.0
3.1398 1.8128 7.3697
-3.1398 1.8128 7.3697
0.0000 -3.6255 7.3697
Cs V Hg O
2 2 1 7
direct
0.2458 0.2458 0.2458
0.7542 0.7542 0.7542
0.4177 0.4177 0.4177
0.5823 0.5823 0.5823
0.0000 0.0000 0.0000
0.2433 0.2433 0.6942
0.2433 0.6942 0.2433
0.3058 0.7567 0.7567
0.5000 0.5000 0.5000
0.6942 0.2433 0.2433
0.7567 0.3058 0.7567
0.7567 0.7567 0.3058
```